For LiCoPO4, a crystal structure in Alexandria, relaxed with PBE+U gives the simulated XRD peak list in this record (Cu Kα X-rays).

Unit cell a=5.157 b=5.157 c=9.365 alpha=90.34 beta=90.34 gamma=120.15
Atoms (fractional coordinates):
Li (0.001, 0.999, 0.500)
Li (0.999, 0.001, 0.000)
Co (0.337, 0.669, 0.388)
Co (0.669, 0.337, 0.888)
P (0.335, 0.678, 0.024)
P (0.678, 0.335, 0.524)
O (0.043, 0.383, 0.980)
O (0.328, 0.948, 0.954)
O (0.357, 0.721, 0.186)
O (0.383, 0.043, 0.480)
O (0.613, 0.664, 0.968)
O (0.664, 0.613, 0.468)
O (0.721, 0.357, 0.686)
O (0.948, 0.328, 0.454)

Top 10 peaks for 15 to 90 degrees two-theta, in order of rising 2θ:
d (Å)  intensity
4.682  100
4.463  80
4.038  68
4.010  34
2.576  58
2.570  16
2.559  20
2.545  15
2.174  14
1.489  18